Diffraction record for BaCr2B2O6. The powder X-ray diffraction pattern is theoretical, not measured: it uses a DFT-relaxed cell (GGA+U, Alexandria) and copper Kα.

Peak list (6 most intense, 2θ from 10° to 80°, sorted by position)
5.450 Å, 16.26 deg, intensity 51, (0 0 1); 4.307 Å, 20.62 deg, intensity 100, (1 1 1); 3.544 Å, 25.13 deg, intensity 92, (0 1 -1); 3.327 Å, 26.79 deg, intensity 66, (1 -1 0); 2.683 Å, 33.39 deg, intensity 97, (1 2 0); 2.675 Å, 33.50 deg, intensity 58, (0 1 2)

Structure:
```
data_BaCr2B2O6
_space_group_name_H-M_alt 'P -1'
_space_group_IT_number 2
_cell_length_a 5.431
_cell_length_b 5.974
_cell_length_c 6.033
_cell_angle_alpha 72.56
_cell_angle_beta 67.41
_cell_angle_gamma 72.01
loop_
_space_group_symop_operation_xyz
'x,y,z'
'-x,-y,-z'
loop_
_atom_site_label
_atom_site_fract_x
_atom_site_fract_y
_atom_site_fract_z
Ba1 0.000 0.000 0.000
Cr1 0.268 0.384 0.306
B1 0.270 0.471 0.788
O1 0.124 0.415 0.669
O2 0.330 0.300 0.983
O3 0.336 0.693 0.711
```